Rb3CrSe4: calculated PXRD pattern (Cu Ka), based on a structure optimized by DFT (GGA-PBE).
Neutral-atom scattering factors, no anomalous dispersion.

The 6 most intense peaks (2θ = 10–90°), sorted by position:
h k l  2θ (°)  intensity
2 0 2  25.41  53
0 1 3  28.06  72
3 0 1  28.53  55
2 3 0  29.57  100
2 3 1  30.93  69
2 2 3  36.22  47

Crystal structure
```
Rb3CrSe4
1.0
9.8898 0.0000 0.0000
0.0000 11.4461 0.0000
0.0000 0.0000 9.9326
Rb Cr Se
12 4 16
direct
0.0481 0.0440 0.2044
0.0481 0.4560 0.2044
0.1435 0.7500 0.4147
0.3565 0.2500 0.9147
0.4519 0.5440 0.7044
0.4519 0.9560 0.7044
0.5481 0.0440 0.2956
0.5481 0.4560 0.2956
0.6435 0.7500 0.0853
0.8565 0.2500 0.5853
0.9519 0.5440 0.7956
0.9519 0.9560 0.7956
0.2216 0.7500 0.9838
0.2784 0.2500 0.4838
0.7216 0.7500 0.5162
0.7784 0.2500 0.0162
0.0099 0.7500 0.0755
0.1672 0.0859 0.5480
0.1672 0.4141 0.5480
0.2038 0.7500 0.7558
0.2962 0.2500 0.2558
0.3328 0.5859 0.0480
0.3328 0.9141 0.0480
0.4901 0.2500 0.5755
0.5099 0.7500 0.4245
0.6672 0.0859 0.9520
0.6672 0.4141 0.9520
0.7038 0.7500 0.7442
0.7962 0.2500 0.2442
0.8328 0.5859 0.4520
0.8328 0.9141 0.4520
0.9901 0.2500 0.9245
```